For Nd14Cl32O, a crystal structure in OQMD, relaxed with GGA-PBE gives the calculated X-ray powder pattern in this record (Cu Ka).
No peak broadening, texture or thermal motion is included.

Peak list (6 most intense, 2θ = 5–70°, by angle)
d_spacing, Position (°2θ), I_rel
8.551, 10.3, 52.0
5.422, 16.3, 75.2
5.117, 17.3, 53.8
3.700, 24.1, 100.0
2.850, 31.4, 72.0
2.777, 32.2, 81.8

Cell and atoms:
```
Nd14Cl32O
1.0
5.8034 3.3506 10.8442
-5.8034 3.3506 10.8442
0.0000 -6.7012 10.8442
Nd Cl O
14 32 1
Cartesian
-1.3766 -4.3358 12.8794
-4.4432 -0.9757 19.6532
0.0000 0.0000 7.9893
-1.7438 -0.8332 14.5072
-3.0666 3.3601 12.8794
-0.1503 -1.9268 18.0254
-1.5935 1.0936 18.0254
1.5935 -1.0936 14.5072
0.1503 1.9268 14.5072
3.0666 -3.3601 19.6532
1.7438 0.8332 18.0254
0.0000 0.0000 24.5433
4.4432 0.9757 12.8794
1.3766 4.3358 19.6532
-4.6058 0.9971 11.8001
-2.2955 -0.9043 9.3277
-0.0997 -2.5889 6.9644
-2.1922 1.3808 6.9644
0.0000 0.0000 3.2042
-3.1664 -3.4902 20.7325
-2.9586 -1.4087 17.1429
1.4394 -4.4873 11.8001
-0.2212 -1.8746 12.4157
-0.2593 -3.2666 15.3897
-1.5128 1.1288 12.4157
-2.6993 1.8579 15.3897
1.9309 -1.5358 9.3277
-1.7340 -0.7457 20.1169
0.3646 2.4402 9.3277
2.2919 1.2082 6.9644
-2.2919 -1.2081 25.5682
-0.3646 -2.4402 23.2049
1.7340 0.7457 12.4157
-1.9309 1.5358 23.2049
2.6993 -1.8579 17.1429
1.5128 -1.1288 20.1168
0.2593 3.2666 17.1429
0.2212 1.8745 20.1168
-1.4394 4.4873 20.7325
2.9586 1.4087 15.3897
3.1664 3.4902 11.8001
0.0000 0.0000 29.3284
2.1922 -1.3808 25.5682
0.0997 2.5889 25.5682
2.2955 0.9043 23.2049
4.6058 -0.9971 20.7325
0.0000 0.0000 16.2663
```